Entry 1:
Calculated XRD peak list
Compound: Al5Co8
Radiation: CuKα
Structure: the PBE geometry in OQMD

The 10 most intense peaks (2θ = 10–90°), in order of falling intensity:
d_spacing, 2θ/deg, Rel. int.
2.057, 44.02, 100.0
1.901, 47.84, 34.0
8.109, 10.91, 28.3
4.054, 21.92, 26.8
2.027, 44.70, 25.9
1.956, 46.43, 22.3
2.096, 43.16, 20.7
1.193, 80.54, 18.7
1.176, 81.92, 17.1
1.776, 51.46, 15.6

Atomic structure:
abc: 8.564 8.564 8.564
angles: 32.35 32.35 32.35
Atoms (fractional coordinates):
Al (0.000, 0.000, 0.000)
Al (0.167, 0.167, 0.167)
Al (0.444, 0.444, 0.444)
Al (0.556, 0.556, 0.556)
Al (0.833, 0.833, 0.833)
Co (0.089, 0.089, 0.583)
Co (0.089, 0.583, 0.089)
Co (0.342, 0.342, 0.342)
Co (0.417, 0.911, 0.911)
Co (0.583, 0.089, 0.089)
Co (0.658, 0.658, 0.658)
Co (0.911, 0.417, 0.911)
Co (0.911, 0.911, 0.417)

Entry 2:
Calculated XRD peak list
Compound: Dy2Er4TmNi2Te2
Radiation: CuKα
Structure: the PBE geometry in OQMD

The 10 most intense peaks (2θ = 10–90°), in order of falling intensity:
d_spacing, 2θ/deg, Rel. int.
2.615, 34.29, 100.0
2.695, 33.24, 77.4
2.579, 34.78, 71.7
2.924, 30.57, 51.3
1.560, 59.23, 29.8
1.913, 47.52, 29.2
2.943, 30.37, 21.6
2.437, 36.89, 21.5
3.074, 29.05, 21.5
2.324, 38.74, 18.1

Atomic structure:
abc: 9.275 9.275 9.275
angles: 156.19 66.89 118.53
Atoms (fractional coordinates):
Dy (0.185, 0.000, 0.185)
Dy (0.815, 0.000, 0.815)
Er (0.205, 0.351, 0.854)
Er (0.498, 0.351, 0.146)
Er (0.571, 0.204, 0.367)
Er (0.837, 0.204, 0.633)
Tm (0.121, 0.621, 0.500)
Ni (0.430, 0.693, 0.738)
Ni (0.955, 0.693, 0.262)
Te (0.458, 0.958, 0.500)
Te (0.856, 0.856, 0.000)

Entry 3:
Calculated XRD peak list
Compound: LaAuSO
Radiation: CuKα
Structure: the PBE geometry in OQMD

The 10 most intense peaks (2θ = 10–90°), in order of falling intensity:
d_spacing, 2θ/deg, Rel. int.
2.781, 32.19, 100.0
2.926, 30.56, 82.1
2.015, 44.99, 81.0
3.069, 29.10, 70.9
2.462, 36.50, 69.9
4.583, 19.37, 58.5
2.113, 42.80, 52.3
3.055, 29.23, 51.3
1.802, 50.66, 37.3
1.883, 48.33, 36.8

Atomic structure:
abc: 5.833 5.851 9.166
angles: 90.00 90.00 90.00
Atoms (fractional coordinates):
La (0.000, 0.000, 0.000)
La (0.000, 0.500, 0.264)
La (0.500, 0.000, 0.264)
La (0.500, 0.500, 0.000)
Au (0.250, 0.007, 0.632)
Au (0.250, 0.507, 0.632)
Au (0.750, 0.493, 0.632)
Au (0.750, 0.993, 0.632)
S (0.000, 0.000, 0.425)
S (0.000, 0.500, 0.839)
S (0.500, 0.000, 0.839)
S (0.500, 0.500, 0.425)
O (0.249, 0.751, 0.132)
O (0.251, 0.251, 0.132)
O (0.749, 0.749, 0.132)
O (0.751, 0.249, 0.132)